Calculated powder XRD pattern
Compound: CoHgBr4
Radiation: λ = 1.5418 Å (Cu Kα)
Structure: a structure optimized by DFT (PBE)
Neutral-atom scattering factors, no anomalous dispersion.

Crystal structure
```
data_CoHgBr4
_chemical_formula_sum 'Co2 Hg2 Br8'
_cell_length_a 6.237
_cell_length_b 6.237
_cell_length_c 10.936
_cell_angle_alpha 90.00
_cell_angle_beta 90.00
_cell_angle_gamma 90.00
_space_group_name_H-M_alt 'P -4 2 c'
_space_group_IT_number 112
_space_group_name_Hall 'P -4 2c'
loop_
_atom_site_label
_atom_site_fract_x
_atom_site_fract_y
_atom_site_fract_z
Co1 0.000 0.500 0.250
Hg1 0.000 0.000 0.000
Br1 0.236 0.281 0.369
```

Most intense lines, 2θ from 15° to 90°, low angle first:
two_theta  d/Å  I/Imax  index
16.4  5.418  17  1 0 1
21.6  4.111  36  1 0 2
26.0  3.433  100  1 1 2
32.1  2.789  16  2 1 0
36.2  2.485  20  2 1 2
40.9  2.205  27  2 2 0
44.0  2.056  45  2 0 4
49.1  1.855  31  3 1 2
54.5  1.684  12  1 1 6
76.7  1.242  14  4 2 4